The following is a computed powder XRD pattern of Ce4UN5. It was derived from a structure optimized by DFT (PBE), using Cu Kα.
Lines closer than 0.1° are merged.

Principal peaks in the range 2θ from 15° to 90°, by angle:
2theta, Rel. int., hkl
30.94, 100.0, 1 0 5
35.80, 49.6, 1 1 0
36.02, 23.6, 0 0 10
51.54, 16.8, 2 0 0
51.70, 33.0, 1 1 10
61.33, 30.4, 2 1 5
61.62, 15.1, 1 0 15
64.48, 16.8, 2 0 10
84.42, 13.1, 2 1 15
86.84, 7.8, 3 1 0

Structural model:
Lattice parameters (Å, degrees): 3.5467 3.5467 24.9323 90.00 90.00 90.00
Space group I4/mmm (No. 139)
One atom of each set of equivalent atoms:
Ce 0.0000 0.0000 0.0991 x4
Ce 0.0000 0.0000 0.3005 x4
U 0.0000 0.0000 0.5000 x2
N 0.0000 0.0000 0.0000 x2
N 0.0000 0.0000 0.2001 x4
N 0.0000 0.0000 0.4067 x4